TbSm2Rh: calculated XRD peak list (copper Kα), based on a GGA-PBE-relaxed structure.
No peak broadening, texture or thermal motion is included.

The 10 most intense peaks (2θ = 10–90°), in order of rising 2θ:
29.83 deg, rel. 54, (2 1 1); 30.73 deg, rel. 100, (2 2 0); 30.80 deg, rel. 92, (0 3 1); 32.14 deg, rel. 88, (1 1 2); 33.25 deg, rel. 61, (1 3 1); 33.87 deg, rel. 70, (2 2 1); 35.94 deg, rel. 32, (1 2 2); 37.07 deg, rel. 33, (2 3 0); 39.95 deg, rel. 32, (3 0 1); 48.57 deg, rel. 38, (1 2 3)

Structure:
a = 7.2444 Å, b = 9.7948 Å, c = 6.3422 Å
α = 90.00°, β = 90.00°, γ = 90.00°
Positions (direct):
Tb 0.0361 0.2500 0.1455
Tb 0.4639 0.7500 0.6455
Tb 0.5361 0.2500 0.3545
Tb 0.9639 0.7500 0.8545
Sm 0.1779 0.0649 0.6698
Sm 0.1779 0.4351 0.6698
Sm 0.3221 0.5649 0.1698
Sm 0.3221 0.9351 0.1698
Sm 0.6779 0.0649 0.8302
Sm 0.6779 0.4351 0.8302
Sm 0.8221 0.5649 0.3302
Sm 0.8221 0.9351 0.3302
Rh 0.1208 0.7500 0.4422
Rh 0.3792 0.2500 0.9422
Rh 0.6208 0.7500 0.0578
Rh 0.8792 0.2500 0.5578